Structure and theoretical X-ray diffraction stick pattern of MnAsO2 (a DFT-relaxed cell (PBE+U, Alexandria); Cu Kα).
Intensities are scaled so that the largest is 100.

```
MnAsO2
1.0
1.5299 0.8833 6.1996
-1.5299 0.8833 6.1996
0.0000 -1.7665 6.1996
Mn As O
1 1 2
Cartesian
0.0000 0.0000 0.0000
0.0000 0.0000 9.2995
0.0000 0.0000 7.3331
0.0000 0.0000 11.2658
```

Main lines, in order of falling intensity (2θ from 15° to 90°):
- 2θ = 35.22°, d 2.548, rel. 100
- 2θ = 39.13°, d 2.302, rel. 41
- 2θ = 28.80°, d 3.100, rel. 35
- 2θ = 52.35°, d 1.748, rel. 34
- 2θ = 60.52°, d 1.530, rel. 25
- 2θ = 60.85°, d 1.522, rel. 24
- 2θ = 68.38°, d 1.372, rel. 18
- 2θ = 34.18°, d 2.623, rel. 12
- 2θ = 71.99°, d 1.312, rel. 11
- 2θ = 84.09°, d 1.151, rel. 8
- 2θ = 74.46°, d 1.274, rel. 6
- 2θ = 59.66°, d 1.550, rel. 6